# 1
Simulated X-ray diffraction stick pattern
Compound: LaYTm
Radiation: Cu Kα, 1.54184 Å
Structure: a structure optimized by DFT (GGA-PBE)
No peak broadening, texture or thermal motion is included.

Structural model:
Lattice parameters (Å, degrees): 5.6945 5.6945 3.5102 90.00 90.00 120.00
Space group P-6m2 (No. 187)
Symmetry-distinct sites (fractional):
1 La 0.0000 0.0000 0.0000
2 Y 0.6667 0.3333 0.5000
3 Tm 0.3333 0.6667 0.0000

Peak list (10 most intense, 2θ = 10–90°, most intense first)
2θ = 31.4°, intensity 100; 2θ = 31.3°, intensity 78; 2θ = 55.9°, intensity 49; 2θ = 40.8°, intensity 29; 2θ = 44.9°, intensity 28; 2θ = 62.1°, intensity 28; 2θ = 25.4°, intensity 17; 2θ = 80.0°, intensity 14; 2θ = 74.4°, intensity 12; 2θ = 65.6°, intensity 12



# 2
Simulated X-ray diffraction stick pattern
Compound: Ca2Mg3Pd4
Radiation: Cu Kα, 1.54184 Å
Structure: a structure optimized by DFT (GGA-PBE)
No peak broadening, texture or thermal motion is included.

Structural model:
Lattice parameters (Å, degrees): 5.9537 16.3736 7.4356 90.00 90.00 90.00
Space group Cmce (No. 64)
Symmetry-distinct sites (fractional):
1 Ca 0.0000 0.1019 0.0883
2 Mg 0.0000 0.0000 0.5000
3 Mg 0.2500 0.2311 0.7500
4 Pd 0.0000 0.1683 0.4755
5 Pd 0.2500 0.0677 0.7500

Peak list (10 most intense, 2θ = 10–90°, most intense first)
2θ = 38.8°, intensity 100; 2θ = 34.2°, intensity 59; 2θ = 25.2°, intensity 58; 2θ = 41.0°, intensity 52; 2θ = 33.5°, intensity 48; 2θ = 24.8°, intensity 43; 2θ = 37.9°, intensity 42; 2θ = 45.1°, intensity 35; 2θ = 16.1°, intensity 34; 2θ = 68.8°, intensity 32



# 3
Simulated X-ray diffraction stick pattern
Compound: Ce5SmOs3
Radiation: Cu Kα, 1.54184 Å
Structure: a structure optimized by DFT (GGA-PBE)
No peak broadening, texture or thermal motion is included.

Structural model:
Lattice parameters (Å, degrees): 12.5859 9.0851 10.2844 90.00 113.58 90.00
Space group C2/m (No. 12)
Symmetry-distinct sites (fractional):
1 Ce 0.0000 0.1988 0.0000
2 Ce 0.0746 0.0000 0.3747
3 Ce 0.1607 0.3041 0.6688
4 Ce 0.2315 0.5000 0.0334
5 Sm 0.1095 0.5000 0.3025
6 Os 0.0000 0.5000 0.0000
7 Os 0.0000 0.5000 0.5000
8 Os 0.1533 0.0000 0.6728
9 Os 0.1685 0.0000 0.1667

Peak list (10 most intense, 2θ = 10–90°, most intense first)
2θ = 28.9°, intensity 100; 2θ = 19.5°, intensity 97; 2θ = 19.0°, intensity 97; 2θ = 47.1°, intensity 81; 2θ = 47.0°, intensity 74; 2θ = 42.8°, intensity 58; 2θ = 37.1°, intensity 54; 2θ = 28.4°, intensity 52; 2θ = 37.2°, intensity 52; 2θ = 37.8°, intensity 51



# 4
Simulated X-ray diffraction stick pattern
Compound: K2Np3CdS8
Radiation: Cu Kα, 1.54184 Å
Structure: a structure optimized by DFT (GGA-PBE)
No peak broadening, texture or thermal motion is included.

Structural model:
Lattice parameters (Å, degrees): 7.9681 7.9681 23.6131 90.00 90.00 120.00
Space group R3m (No. 160, hexagonal axes)
Symmetry-distinct sites (fractional):
1 K 0.0000 0.0000 0.0000
2 K 0.0000 0.0000 0.3514
3 Np 0.1678 0.3356 0.1872
4 Cd 0.0000 0.0000 0.8385
5 S 0.0000 0.0000 0.1287
6 S 0.0000 0.0000 0.5801
7 S 0.0171 0.5085 0.1236
8 S 0.1720 0.3439 0.9138

Peak list (10 most intense, 2θ = 10–90°, most intense first)
2θ = 11.2°, intensity 100; 2θ = 30.0°, intensity 48; 2θ = 26.1°, intensity 36; 2θ = 37.3°, intensity 25; 2θ = 26.9°, intensity 19; 2θ = 45.5°, intensity 18; 2θ = 40.2°, intensity 18; 2θ = 47.1°, intensity 18; 2θ = 22.6°, intensity 14; 2θ = 32.1°, intensity 13



# 5
Simulated X-ray diffraction stick pattern
Compound: Cs3Cr2I9
Radiation: Cu Kα, 1.54184 Å
Structure: a structure optimized by DFT (GGA-PBE)
No peak broadening, texture or thermal motion is included.

Structural model:
Lattice parameters (Å, degrees): 8.2883 8.2883 21.0069 90.00 90.00 120.00
Space group P6_3/mmc (No. 194)
Symmetry-distinct sites (fractional):
1 Cs 0.0000 0.0000 0.2500
2 Cs 0.3333 0.6667 0.0639
3 Cr 0.3333 0.6667 0.6642
4 I 0.0321 0.5161 0.7500
5 I 0.1756 0.3512 0.5938

Peak list (10 most intense, 2θ = 10–90°, most intense first)
2θ = 27.9°, intensity 100; 2θ = 26.2°, intensity 81; 2θ = 30.2°, intensity 73; 2θ = 43.7°, intensity 50; 2θ = 25.4°, intensity 50; 2θ = 51.2°, intensity 39; 2θ = 13.0°, intensity 29; 2θ = 25.2°, intensity 24; 2θ = 42.7°, intensity 18; 2θ = 39.1°, intensity 16



# 6
Simulated X-ray diffraction stick pattern
Compound: Tm3Tl2Cd4
Radiation: Cu Kα, 1.54184 Å
Structure: a structure optimized by DFT (GGA-PBE)
No peak broadening, texture or thermal motion is included.

Structural model:
Lattice parameters (Å, degrees): 11.0294 4.9554 9.3290 90.00 119.51 90.00
Space group C2/m (No. 12)
Symmetry-distinct sites (fractional):
1 Tm 0.0000 0.0000 0.0000
2 Tm 0.1664 0.5000 0.6700
3 Tl 0.1070 0.5000 0.2707
4 Cd 0.0687 0.0000 0.4066
5 Cd 0.2169 0.5000 0.0429

Peak list (10 most intense, 2θ = 10–90°, most intense first)
2θ = 36.1°, intensity 100; 2θ = 33.3°, intensity 98; 2θ = 33.3°, intensity 51; 2θ = 36.3°, intensity 50; 2θ = 66.0°, intensity 33; 2θ = 49.9°, intensity 25; 2θ = 33.1°, intensity 25; 2θ = 50.1°, intensity 21; 2θ = 63.3°, intensity 19; 2θ = 63.2°, intensity 19



# 7
Simulated X-ray diffraction stick pattern
Compound: Rb3Sn4Au
Radiation: Cu Kα, 1.54184 Å
Structure: a structure optimized by DFT (GGA-PBE)
No peak broadening, texture or thermal motion is included.

Structural model:
Lattice parameters (Å, degrees): 7.1711 13.3831 6.7066 90.00 90.00 90.00
Space group Pmmn (No. 59, origin choice 2)
Symmetry-distinct sites (fractional):
1 Rb 0.2500 0.0054 0.1729
2 Rb 0.2500 0.2500 0.5541
3 Sn 0.0287 0.7500 0.9623
4 Sn 0.2500 0.6328 0.6696
5 Au 0.2500 0.7500 0.3159

Peak list (10 most intense, 2θ = 10–90°, most intense first)
2θ = 14.0°, intensity 100; 2θ = 32.4°, intensity 80; 2θ = 13.2°, intensity 76; 2θ = 31.3°, intensity 65; 2θ = 34.8°, intensity 36; 2θ = 28.2°, intensity 34; 2θ = 24.8°, intensity 29; 2θ = 48.7°, intensity 27; 2θ = 42.9°, intensity 26; 2θ = 24.0°, intensity 24